[1]
Diffraction record for Th2Al7. The XRD peak list is computed, not measured: it uses a PBE-relaxed structure and Cu Kα (λ = 1.5418 Å).
Lines closer than 0.1° are merged.

Cell and atoms:
```
Th2Al7
1.0
5.879 0.000 0.000
0.000 11.462 0.000
0.000 0.000 5.559
Th Al
4 14
Direct
0.145 0.147 0.000
0.355 0.647 0.000
0.645 0.353 0.000
0.855 0.853 0.000
0.000 0.000 0.500
0.098 0.748 0.500
0.148 0.408 0.238
0.148 0.408 0.762
0.352 0.908 0.238
0.352 0.908 0.762
0.402 0.248 0.500
0.500 0.500 0.500
0.598 0.752 0.500
0.648 0.092 0.238
0.648 0.092 0.762
0.852 0.592 0.238
0.852 0.592 0.762
0.902 0.252 0.500
```

Top 10 peaks for 2θ = 5–70°, in order of rising 2θ:
| 2theta | I_rel |
| --- | --- |
| 15.9 | 1000 |
| 21.7 | 486 |
| 27.0 | 962 |
| 31.4 | 365 |
| 32.2 | 693 |
| 35.2 | 483 |
| 35.4 | 698 |
| 39.1 | 582 |
| 50.5 | 265 |
| 61.1 | 293 |

[2]
Diffraction record for VNi7Ge2Pt2. The XRD peak list is computed, not measured: it uses a PBE-relaxed structure and Cu Kα (λ = 1.5418 Å).
Lines closer than 0.1° are merged.

Cell and atoms:
```
VNi7Ge2Pt2
1.0
2.560 -2.579 0.000
2.560 2.579 0.000
0.000 0.000 11.707
V Ni Ge Pt
1 7 2 2
Direct
0.000 0.000 0.000
0.000 0.500 0.144
0.000 0.500 0.856
0.253 0.747 0.500
0.500 0.000 0.144
0.500 0.000 0.856
0.500 0.500 0.000
0.747 0.253 0.500
0.000 0.000 0.325
0.000 0.000 0.675
0.500 0.500 0.309
0.500 0.500 0.691
```

Top 10 peaks for 2θ = 5–70°, in order of rising 2θ:
| 2theta | I_rel |
| --- | --- |
| 15.1 | 223 |
| 24.5 | 265 |
| 35.1 | 235 |
| 35.9 | 239 |
| 42.0 | 1000 |
| 42.2 | 529 |
| 46.5 | 242 |
| 50.2 | 378 |
| 52.8 | 243 |
| 55.8 | 228 |

[3]
Diffraction record for LiErCd17. The XRD peak list is computed, not measured: it uses a PBE-relaxed structure and Cu Kα (λ = 1.5418 Å).
Lines closer than 0.1° are merged.

Cell and atoms:
```
LiErCd17
1.0
5.012 2.894 5.084
-5.012 2.894 5.084
0.000 -5.788 5.084
Li Er Cd
1 1 17
Direct
0.000 0.000 0.000
0.375 0.375 0.375
0.007 0.388 0.698
0.007 0.698 0.388
0.087 0.087 0.453
0.087 0.453 0.087
0.164 0.725 0.725
0.360 0.360 0.807
0.360 0.807 0.360
0.388 0.007 0.698
0.388 0.698 0.007
0.453 0.087 0.087
0.597 0.597 0.597
0.698 0.007 0.388
0.698 0.388 0.007
0.725 0.164 0.725
0.725 0.725 0.164
0.784 0.784 0.784
0.807 0.360 0.360
```

Top 10 peaks for 2θ = 5–70°, in order of rising 2θ:
| 2theta | I_rel |
| --- | --- |
| 11.7 | 161 |
| 30.9 | 319 |
| 35.3 | 232 |
| 35.7 | 1000 |
| 35.8 | 160 |
| 36.0 | 181 |
| 39.8 | 157 |
| 40.1 | 293 |
| 55.0 | 131 |
| 63.6 | 165 |

[4]
Diffraction record for Pr3Nd8Er. The XRD peak list is computed, not measured: it uses a PBE-relaxed structure and Cu Kα (λ = 1.5418 Å).
Lines closer than 0.1° are merged.

Cell and atoms:
```
Pr3Nd8Er
1.0
8.130 -3.216 0.000
8.130 3.216 0.000
-7.557 0.000 8.131
Pr Nd Er
3 8 1
Direct
0.000 0.000 0.000
0.421 0.076 0.749
0.924 0.579 0.251
0.000 0.000 0.334
0.000 0.000 0.666
0.420 0.083 0.417
0.421 0.083 0.087
0.497 0.502 0.831
0.498 0.503 0.169
0.917 0.579 0.913
0.917 0.580 0.583
0.501 0.499 0.500
```

Top 10 peaks for 2θ = 5–70°, in order of rising 2θ:
| 2theta | I_rel |
| --- | --- |
| 27.8 | 234 |
| 30.0 | 256 |
| 31.7 | 1000 |
| 41.3 | 105 |
| 49.1 | 130 |
| 49.3 | 65 |
| 54.3 | 146 |
| 54.4 | 71 |
| 58.6 | 191 |
| 59.7 | 112 |

[5]
Diffraction record for NaCd10Ag3. The XRD peak list is computed, not measured: it uses a PBE-relaxed structure and Cu Kα (λ = 1.5418 Å).
Lines closer than 0.1° are merged.

Cell and atoms:
```
NaCd10Ag3
1.0
0.000 7.023 7.023
7.023 0.000 7.023
7.023 7.023 0.000
Na Cd Ag
2 20 6
Direct
0.250 0.250 0.250
0.750 0.750 0.750
0.000 0.000 0.347
0.000 0.000 0.653
0.000 0.347 0.000
0.000 0.347 0.653
0.000 0.653 0.000
0.000 0.653 0.347
0.135 0.622 0.622
0.347 0.000 0.000
0.347 0.000 0.653
0.347 0.653 0.000
0.378 0.378 0.378
0.378 0.378 0.865
0.378 0.865 0.378
0.622 0.135 0.622
0.622 0.622 0.135
0.622 0.622 0.622
0.653 0.000 0.000
0.653 0.000 0.347
0.653 0.347 0.000
0.865 0.378 0.378
0.270 0.270 0.730
0.270 0.730 0.270
0.270 0.730 0.730
0.730 0.270 0.270
0.730 0.270 0.730
0.730 0.730 0.270
```

Top 10 peaks for 2θ = 5–70°, in order of rising 2θ:
| 2theta | I_rel |
| --- | --- |
| 17.9 | 445 |
| 33.1 | 1000 |
| 36.2 | 459 |
| 37.9 | 582 |
| 38.5 | 313 |
| 42.7 | 334 |
| 55.5 | 131 |
| 56.8 | 112 |
| 60.0 | 160 |
| 65.1 | 274 |

[6]
Diffraction record for Li2Ag5Au5. The XRD peak list is computed, not measured: it uses a PBE-relaxed structure and Cu Kα (λ = 1.5418 Å).
Lines closer than 0.1° are merged.

Cell and atoms:
```
Li2Ag5Au5
1.0
6.193 -2.038 0.000
6.193 2.038 0.000
-4.132 0.000 8.219
Li Ag Au
2 5 5
Direct
0.084 0.084 0.255
0.916 0.916 0.745
0.000 0.000 0.500
0.165 0.165 0.000
0.253 0.253 0.751
0.747 0.747 0.249
0.835 0.835 0.000
0.332 0.332 0.500
0.421 0.421 0.248
0.500 0.500 0.000
0.579 0.579 0.752
0.668 0.668 0.500
```

Top 10 peaks for 2θ = 5–70°, in order of rising 2θ:
| 2theta | I_rel |
| --- | --- |
| 23.1 | 88 |
| 23.3 | 181 |
| 29.1 | 59 |
| 38.0 | 1000 |
| 43.9 | 165 |
| 44.1 | 164 |
| 44.5 | 160 |
| 63.9 | 106 |
| 64.2 | 105 |
| 64.4 | 105 |

[7]
Diffraction record for CsRb2Hg9. The XRD peak list is computed, not measured: it uses a PBE-relaxed structure and Cu Kα (λ = 1.5418 Å).
Lines closer than 0.1° are merged.

Cell and atoms:
```
CsRb2Hg9
1.0
3.306 1.908 10.893
-3.306 1.908 10.893
0.000 -3.817 10.893
Cs Rb Hg
1 2 9
Direct
0.000 0.000 0.000
0.143 0.143 0.143
0.857 0.857 0.857
0.073 0.590 0.590
0.338 0.338 0.338
0.410 0.410 0.927
0.410 0.927 0.410
0.500 0.500 0.500
0.590 0.073 0.590
0.590 0.590 0.073
0.662 0.662 0.662
0.927 0.410 0.410
```

Top 10 peaks for 2θ = 5–70°, in order of rising 2θ:
| 2theta | I_rel |
| --- | --- |
| 15.7 | 346 |
| 26.8 | 142 |
| 31.4 | 217 |
| 31.7 | 1000 |
| 32.9 | 299 |
| 34.2 | 398 |
| 36.8 | 298 |
| 50.7 | 246 |
| 55.6 | 258 |
| 66.1 | 242 |

Repeat the second record exactly.
Diffraction record for VNi7Ge2Pt2. The XRD peak list is computed, not measured: it uses a PBE-relaxed structure and Cu Kα (λ = 1.5418 Å).
Lines closer than 0.1° are merged.

Cell and atoms:
```
VNi7Ge2Pt2
1.0
2.560 -2.579 0.000
2.560 2.579 0.000
0.000 0.000 11.707
V Ni Ge Pt
1 7 2 2
Direct
0.000 0.000 0.000
0.000 0.500 0.144
0.000 0.500 0.856
0.253 0.747 0.500
0.500 0.000 0.144
0.500 0.000 0.856
0.500 0.500 0.000
0.747 0.253 0.500
0.000 0.000 0.325
0.000 0.000 0.675
0.500 0.500 0.309
0.500 0.500 0.691
```

Top 10 peaks for 2θ = 5–70°, in order of rising 2θ:
| 2theta | I_rel |
| --- | --- |
| 15.1 | 223 |
| 24.5 | 265 |
| 35.1 | 235 |
| 35.9 | 239 |
| 42.0 | 1000 |
| 42.2 | 529 |
| 46.5 | 242 |
| 50.2 | 378 |
| 52.8 | 243 |
| 55.8 | 228 |